1.
The following is a theoretical powder diffraction line list of BaNaCdP2. It was derived from a PBE-relaxed structure, using Cu Kα.

Largest 10 diffraction maxima, in order of rising 2θ, 10° ≤ 2θ ≤ 90°:
2θ/deg	Rel. int.
11.61	84
21.44	64
24.60	45
25.02	61
26.61	42
26.90	99
33.32	100
35.83	34
40.52	77
40.86	40

Atomic structure:
Cell: 7.977 7.977 10.875 Å, 126.90 126.90 32.15°
Atoms (fractional coordinates):
1 Ba 0.197 0.197 0.131
2 Ba 0.803 0.803 0.869
3 Na 0.357 0.357 0.597
4 Na 0.643 0.643 0.403
5 Cd 0.044 0.044 0.687
6 Cd 0.956 0.956 0.313
7 P 0.165 0.165 0.590
8 P 0.414 0.414 0.144
9 P 0.586 0.586 0.856
10 P 0.835 0.835 0.410


2.
The following is a theoretical powder diffraction line list of TmAlIn2S6. It was derived from a PBE-relaxed structure, using Cu Kα.

Largest 10 diffraction maxima, in order of rising 2θ, 10° ≤ 2θ ≤ 90°:
2θ/deg	Rel. int.
13.38	79
15.76	100
19.71	98
21.61	70
24.26	94
24.68	94
27.38	72
30.49	72
32.69	79
37.54	69

Atomic structure:
Cell: 8.960 8.960 6.749 Å, 104.25 104.25 95.20°
Atoms (fractional coordinates):
1 Tm 0.094 0.906 0.750
2 Tm 0.906 0.094 0.250
3 Al 0.169 0.831 0.250
4 Al 0.831 0.169 0.750
5 In 0.292 0.470 0.847
6 In 0.470 0.292 0.347
7 In 0.530 0.708 0.653
8 In 0.708 0.530 0.153
9 S 0.064 0.192 0.669
10 S 0.108 0.656 0.924
11 S 0.192 0.064 0.169
12 S 0.293 0.467 0.474
13 S 0.344 0.892 0.576
14 S 0.467 0.293 0.974
15 S 0.533 0.707 0.026
16 S 0.656 0.108 0.424
17 S 0.707 0.533 0.526
18 S 0.808 0.936 0.831
19 S 0.892 0.344 0.076
20 S 0.936 0.808 0.331


3.
The following is a theoretical powder diffraction line list of PmTm8Pb6. It was derived from a PBE-relaxed structure, using Cu Kα.

Largest 10 diffraction maxima, in order of rising 2θ, 10° ≤ 2θ ≤ 90°:
2θ/deg	Rel. int.
19.60	21
23.88	22
33.77	91
34.29	100
44.32	21
48.89	33
60.07	18
61.08	34
61.41	19
81.30	15

Atomic structure:
Cell: 8.383 8.383 8.383 Å, 65.41 65.41 65.41°
Atoms (fractional coordinates):
1 Pm 0.000 0.000 0.000
2 Tm 0.106 0.775 0.435
3 Tm 0.225 0.565 0.894
4 Tm 0.333 0.333 0.333
5 Tm 0.435 0.106 0.775
6 Tm 0.565 0.894 0.225
7 Tm 0.667 0.667 0.667
8 Tm 0.775 0.435 0.106
9 Tm 0.894 0.225 0.565
10 Pb 0.069 0.408 0.730
11 Pb 0.270 0.931 0.592
12 Pb 0.408 0.730 0.069
13 Pb 0.592 0.270 0.931
14 Pb 0.730 0.069 0.408
15 Pb 0.931 0.592 0.270


4.
The following is a theoretical powder diffraction line list of Y4TlInH. It was derived from a PBE-relaxed structure, using Cu Kα.

Largest 10 diffraction maxima, in order of rising 2θ, 10° ≤ 2θ ≤ 90°:
2θ/deg	Rel. int.
20.08	22
27.53	33
29.52	62
31.74	25
32.91	32
34.89	100
39.33	59
51.39	26
56.84	20
68.45	27

Atomic structure:
Cell: 9.057 9.057 6.479 Å, 90.00 90.00 138.07°
Atoms (fractional coordinates):
1 Y 0.000 0.500 0.000
2 Y 0.000 0.500 0.500
3 Y 0.071 0.929 0.750
4 Y 0.427 0.573 0.750
5 Y 0.500 0.000 0.000
6 Y 0.500 0.000 0.500
7 Y 0.573 0.427 0.250
8 Y 0.929 0.071 0.250
9 Tl 0.114 0.886 0.250
10 Tl 0.886 0.114 0.750
11 In 0.385 0.615 0.250
12 In 0.615 0.385 0.750
13 H 0.290 0.710 0.750
14 H 0.710 0.290 0.250


5.
The following is a theoretical powder diffraction line list of NdSmRhPb. It was derived from a PBE-relaxed structure, using Cu Kα.

Largest 10 diffraction maxima, in order of rising 2θ, 10° ≤ 2θ ≤ 90°:
2θ/deg	Rel. int.
20.58	6
33.91	100
39.99	4
48.72	18
53.42	2
60.68	38
64.79	1
71.36	12
75.18	1
81.40	17

Atomic structure:
Cell: 5.287 5.287 5.287 Å, 60.00 60.00 60.00°
Atoms (fractional coordinates):
1 Nd 0.000 0.000 0.000
2 Sm 0.500 0.500 0.500
3 Rh 0.750 0.750 0.750
4 Pb 0.250 0.250 0.250


6.
The following is a theoretical powder diffraction line list of TiFe2SCl. It was derived from a PBE-relaxed structure, using Cu Kα.

Largest 10 diffraction maxima, in order of rising 2θ, 10° ≤ 2θ ≤ 90°:
2θ/deg	Rel. int.
18.36	22
21.10	14
35.42	100
37.22	42
42.97	54
58.12	40
62.39	16
65.94	14
73.83	19
74.94	18

Atomic structure:
Cell: 4.210 4.210 4.832 Å, 90.00 90.00 90.00°
Atoms (fractional coordinates):
1 Ti 0.000 0.000 0.000
2 Fe 0.000 0.500 0.500
3 Fe 0.500 0.000 0.500
4 S 0.000 0.000 0.500
5 Cl 0.500 0.500 0.000


7.
The following is a theoretical powder diffraction line list of Ba2SrP2O8. It was derived from a PBE-relaxed structure, using Cu Kα.

Largest 10 diffraction maxima, in order of rising 2θ, 10° ≤ 2θ ≤ 90°:
2θ/deg	Rel. int.
28.02	100
31.85	84
37.96	16
42.93	37
47.03	23
50.79	16
54.44	26
56.76	15
66.58	16
67.64	17

Atomic structure:
Cell: 7.731 7.731 7.731 Å, 42.62 42.62 42.62°
Atoms (fractional coordinates):
1 Ba 0.208 0.208 0.208
2 Ba 0.792 0.792 0.792
3 Sr 0.000 0.000 0.000
4 P 0.404 0.404 0.404
5 P 0.596 0.596 0.596
6 O 0.268 0.723 0.723
7 O 0.277 0.277 0.732
8 O 0.277 0.732 0.277
9 O 0.330 0.330 0.330
10 O 0.670 0.670 0.670
11 O 0.723 0.268 0.723
12 O 0.723 0.723 0.268
13 O 0.732 0.277 0.277


8.
The following is a theoretical powder diffraction line list of Ac2Sm3Er6. It was derived from a PBE-relaxed structure, using Cu Kα.

Largest 10 diffraction maxima, in order of rising 2θ, 10° ≤ 2θ ≤ 90°:
2θ/deg	Rel. int.
30.41	33
30.52	100
35.36	67
50.79	24
50.94	24
60.36	14
60.50	38
63.53	12
85.42	10
85.64	11

Atomic structure:
Cell: 6.212 6.212 11.937 Å, 94.97 94.97 120.04°
Atoms (fractional coordinates):
1 Ac 0.167 0.833 0.000
2 Ac 0.833 0.167 0.000
3 Sm 0.000 0.000 0.500
4 Sm 0.335 0.665 0.500
5 Sm 0.665 0.335 0.500
6 Er 0.081 0.414 0.742
7 Er 0.254 0.254 0.258
8 Er 0.414 0.081 0.742
9 Er 0.586 0.919 0.258
10 Er 0.746 0.746 0.742
11 Er 0.919 0.586 0.258